Starting from a DFT-relaxed cell (GGA+U, Alexandria), the X-ray powder pattern of Eu2CoO4 was computed for Cu Kα (weighted mean of Kα1 and Kα2).

Structural model:
```
data_Eu2CoO4
_chemical_formula_sum 'Eu8 Co4 O16'
_cell_length_a 5.933
_cell_length_b 7.166
_cell_length_c 10.503
_cell_angle_alpha 90.00
_cell_angle_beta 116.06
_cell_angle_gamma 90.00
_space_group_name_H-M_alt 'P 1 21/c 1'
_space_group_IT_number 14
loop_
_space_group_symop_operation_xyz
'x,y,z'
'-x,-y,-z'
'-x,y+1/2,-z+1/2'
'x,-y+1/2,z+1/2'
loop_
_atom_site_label
_atom_site_type_symbol
_atom_site_fract_x
_atom_site_fract_y
_atom_site_fract_z
Eu1 Eu 0.004 0.005 0.301
Eu2 Eu 0.293 0.645 0.567
Co1 Co 0.359 0.214 0.585
O1 O 0.124 0.156 0.129
O2 O 0.258 0.528 0.064
O3 O 0.291 0.147 0.918
O4 O 0.297 0.731 0.801
```

Peak list (10 most intense, 2θ from 10° to 80°, by angle)
- d 3.110, intensity 59
- d 3.059, intensity 59
- d 2.973, intensity 80
- d 2.948, intensity 100
- d 2.938, intensity 95
- d 2.880, intensity 38
- d 2.852, intensity 82
- d 2.626, intensity 51
- d 2.364, intensity 32
- d 2.315, intensity 32